Structure and calculated powder X-ray diffraction pattern of La3Nd2Y13 (a PBE-relaxed structure; CuKα).

Cell and atoms:
Unit cell a=6.5924 b=6.5924 c=17.3432 alpha=90.00 beta=90.00 gamma=120.00
Fractional coordinates of all 18 atoms:
La  0.0000  0.0000  0.0000
La  0.0000  0.0000  0.3319
La  0.0000  0.0000  0.6681
Nd  0.3333  0.6667  0.0000
Nd  0.6667  0.3333  0.0000
Y  0.0000  0.5000  0.1683
Y  0.0000  0.5000  0.5000
Y  0.0000  0.5000  0.8317
Y  0.3333  0.6667  0.3342
Y  0.3333  0.6667  0.6658
Y  0.5000  0.0000  0.1683
Y  0.5000  0.0000  0.5000
Y  0.5000  0.0000  0.8317
Y  0.5000  0.5000  0.1683
Y  0.5000  0.5000  0.5000
Y  0.5000  0.5000  0.8317
Y  0.6667  0.3333  0.3342
Y  0.6667  0.3333  0.6658

Peak list (10 most intense, 2θ from 10° to 90°, by angle)
2θ/deg, d (Å), I (rel.)
21.9, 4.062, 14
27.1, 3.296, 21
30.9, 2.891, 28
31.3, 2.862, 100
35.1, 2.560, 18
44.6, 2.031, 14
50.5, 1.808, 21
55.2, 1.664, 16
55.8, 1.648, 15
65.2, 1.432, 19